Diffraction record for Mg4Si3. The X-ray diffraction stick pattern is calculated, not measured: it uses a PBE-relaxed structure and copper Kα.

Atomic structure:
```
data_Mg4Si3
_symmetry_space_group_name_H-M 'P 1'
_symmetry_Int_Tables_number 1
_symmetry_space_group_name_Hall 'P 1'
_cell_length_a 5.382
_cell_length_b 7.180
_cell_length_c 7.943
_cell_angle_alpha 113.00
_cell_angle_beta 94.34
_cell_angle_gamma 101.28
loop_
_atom_site_label
_atom_site_fract_x
_atom_site_fract_y
_atom_site_fract_z
Mg1 0.000 0.000 0.000
Mg2 0.018 0.450 0.699
Mg3 0.129 0.033 0.401
Mg4 0.165 0.579 0.138
Mg5 0.438 0.824 0.871
Mg6 0.548 0.530 0.480
Mg7 0.602 0.284 0.062
Mg8 0.652 0.027 0.627
Si1 0.106 0.737 0.546
Si2 0.214 0.167 0.778
Si3 0.561 0.462 0.811
Si4 0.581 0.040 0.263
Si5 0.692 0.700 0.147
Si6 0.989 0.342 0.329
```

Principal peaks in the range 2θ from 10° to 90°, by angle:
2θ (°)	Rel. int.	h k l
33.99	891	0 1 -3
34.48	832	2 0 0
34.88	792	-1 2 1
38.70	1000	0 3 -1
38.88	629	2 -2 0
41.05	917	1 1 2

---

Diffraction record for Mg2Si3. The X-ray diffraction stick pattern is calculated, not measured: it uses a PBE-relaxed structure and copper Kα.

Atomic structure:
```
data_Mg2Si3
_symmetry_space_group_name_H-M 'C 1 m 1'
_symmetry_Int_Tables_number 8
_symmetry_space_group_name_Hall 'C -2y'
_cell_length_a 11.763
_cell_length_b 3.838
_cell_length_c 17.508
_cell_angle_alpha 90.00
_cell_angle_beta 101.14
_cell_angle_gamma 90.00
loop_
_atom_site_label
_atom_site_fract_x
_atom_site_fract_y
_atom_site_fract_z
Mg1 0.000 0.000 0.000
Mg2 0.008 0.000 0.821
Mg3 0.127 0.000 0.500
Mg4 0.267 0.000 0.176
Mg5 0.278 0.000 0.005
Mg6 0.339 0.500 0.506
Mg7 0.351 0.500 0.323
Mg8 0.386 0.000 0.672
Si1 0.115 0.500 0.928
Si2 0.138 0.000 0.706
Si3 0.147 0.500 0.382
Si4 0.151 0.000 0.297
Si5 0.157 0.500 0.072
Si6 0.194 0.500 0.635
Si7 0.302 0.500 0.890
Si8 0.307 0.000 0.808
Si9 0.462 0.000 0.421
Si10 0.473 0.500 0.203
Si11 0.478 0.000 0.120
Si12 0.499 0.000 0.558
```

Principal peaks in the range 2θ from 10° to 90°, by angle:
2θ (°)	Rel. int.	h k l
27.17	549	1 1 2
33.21	508	1 1 4
34.10	685	3 1 1
39.37	1000	3 1 -5
45.29	488	5 1 -2
47.37	621	0 2 0

---

Diffraction record for Mg3Si4. The X-ray diffraction stick pattern is calculated, not measured: it uses a PBE-relaxed structure and copper Kα.

Atomic structure:
```
data_Mg3Si4
_symmetry_space_group_name_H-M 'P 1 m 1'
_symmetry_Int_Tables_number 6
_symmetry_space_group_name_Hall 'P -2y'
_cell_length_a 7.074
_cell_length_b 3.610
_cell_length_c 9.737
_cell_angle_alpha 90.00
_cell_angle_beta 96.06
_cell_angle_gamma 90.00
loop_
_atom_site_label
_atom_site_fract_x
_atom_site_fract_y
_atom_site_fract_z
Mg1 0.000 0.000 0.000
Mg2 0.055 0.500 0.514
Mg3 0.169 0.500 0.234
Mg4 0.463 0.000 0.138
Mg5 0.595 0.000 0.861
Mg6 0.726 0.000 0.579
Si1 0.190 0.000 0.742
Si2 0.286 0.500 0.928
Si3 0.371 0.000 0.427
Si4 0.417 0.500 0.639
Si5 0.597 0.500 0.359
Si6 0.762 0.500 0.134
Si7 0.877 0.000 0.305
Si8 0.922 0.500 0.778
```

Principal peaks in the range 2θ from 10° to 90°, by angle:
2θ (°)	Rel. int.	h k l
37.57	1000	2 1 1
38.58	940	1 1 -3
40.68	353	1 0 4
40.96	343	3 0 -2
50.57	235	0 2 0
66.82	156	1 2 4

---

Diffraction record for Mg4Si3. The X-ray diffraction stick pattern is calculated, not measured: it uses a PBE-relaxed structure and copper Kα.

Atomic structure:
```
data_Mg4Si3
_symmetry_space_group_name_H-M 'P 1'
_symmetry_Int_Tables_number 1
_symmetry_space_group_name_Hall 'P 1'
_cell_length_a 6.054
_cell_length_b 6.999
_cell_length_c 7.498
_cell_angle_alpha 112.67
_cell_angle_beta 98.00
_cell_angle_gamma 104.18
loop_
_atom_site_label
_atom_site_fract_x
_atom_site_fract_y
_atom_site_fract_z
Mg1 0.000 0.000 0.000
Mg2 0.069 0.276 0.750
Mg3 0.152 0.956 0.396
Mg4 0.259 0.733 0.709
Mg5 0.402 0.570 0.305
Mg6 0.592 0.057 0.233
Mg7 0.678 0.462 0.652
Mg8 0.856 0.493 0.211
Si1 0.080 0.314 0.401
Si2 0.156 0.676 0.031
Si3 0.453 0.218 0.930
Si4 0.539 0.623 0.988
Si5 0.581 0.040 0.629
Si6 0.831 0.814 0.581
```

Principal peaks in the range 2θ from 10° to 90°, by angle:
2θ (°)	Rel. int.	h k l
32.56	519	1 -2 2
33.80	857	2 -1 1
35.03	623	-1 2 1
37.38	1000	1 1 -3
40.57	630	0 3 -2
45.61	585	2 -3 0

---

Please write out number 2 again, unchanged.
Diffraction record for Mg2Si3. The X-ray diffraction stick pattern is calculated, not measured: it uses a PBE-relaxed structure and copper Kα.

Atomic structure:
```
data_Mg2Si3
_symmetry_space_group_name_H-M 'C 1 m 1'
_symmetry_Int_Tables_number 8
_symmetry_space_group_name_Hall 'C -2y'
_cell_length_a 11.763
_cell_length_b 3.838
_cell_length_c 17.508
_cell_angle_alpha 90.00
_cell_angle_beta 101.14
_cell_angle_gamma 90.00
loop_
_atom_site_label
_atom_site_fract_x
_atom_site_fract_y
_atom_site_fract_z
Mg1 0.000 0.000 0.000
Mg2 0.008 0.000 0.821
Mg3 0.127 0.000 0.500
Mg4 0.267 0.000 0.176
Mg5 0.278 0.000 0.005
Mg6 0.339 0.500 0.506
Mg7 0.351 0.500 0.323
Mg8 0.386 0.000 0.672
Si1 0.115 0.500 0.928
Si2 0.138 0.000 0.706
Si3 0.147 0.500 0.382
Si4 0.151 0.000 0.297
Si5 0.157 0.500 0.072
Si6 0.194 0.500 0.635
Si7 0.302 0.500 0.890
Si8 0.307 0.000 0.808
Si9 0.462 0.000 0.421
Si10 0.473 0.500 0.203
Si11 0.478 0.000 0.120
Si12 0.499 0.000 0.558
```

Principal peaks in the range 2θ from 10° to 90°, by angle:
2θ (°)	Rel. int.	h k l
27.17	549	1 1 2
33.21	508	1 1 4
34.10	685	3 1 1
39.37	1000	3 1 -5
45.29	488	5 1 -2
47.37	621	0 2 0